Structure and simulated XRD peak list of Dy2Ni4Ir3 (a crystal structure in Alexandria, relaxed with GGA-PBE; λ = 1.5418 Å (Cu Kα)).

Crystal structure
abc: 7.7330 6.7391 5.2277
angles: 79.41 58.94 41.65
Atoms (fractional coordinates):
Dy: 0.1379 0.1379 0.8621
Dy: 0.8621 0.8621 0.1379
Ni: 0.1483 0.5144 0.4856
Ni: 0.4856 0.8517 0.1483
Ni: 0.5144 0.1483 0.8517
Ni: 0.8517 0.4856 0.5144
Ir: 0.0000 0.0000 0.5000
Ir: 0.5000 0.5000 0.0000
Ir: 0.5000 0.5000 0.5000

Largest 6 diffraction maxima, in order of rising 2θ, 2θ from 15° to 90°:
- 29.41°, intensity 60
- 39.46°, intensity 40
- 40.59°, intensity 51
- 40.78°, intensity 100
- 43.21°, intensity 62
- 43.51°, intensity 39